Entry 1:
# ZrCo6B2
Calculated XRD peak list, copper Kα. Input: the PBE geometry in Alexandria.
No peak broadening, texture or thermal motion is included.

Cell and atoms:
abc: 6.809 6.809 6.809
angles: 60.00 60.00 60.00
Sites, in units of the cell vectors:
Zr 0.125 0.125 0.125
Zr 0.875 0.875 0.875
Co 0.157 0.157 0.593
Co 0.157 0.593 0.157
Co 0.157 0.593 0.593
Co 0.407 0.407 0.843
Co 0.407 0.843 0.407
Co 0.407 0.843 0.843
Co 0.593 0.157 0.157
Co 0.593 0.157 0.593
Co 0.593 0.593 0.157
Co 0.843 0.407 0.407
Co 0.843 0.407 0.843
Co 0.843 0.843 0.407
B 0.000 0.500 0.500
B 0.500 0.000 0.500
B 0.500 0.500 0.000
B 0.500 0.500 0.500

Top 10 peaks for 2θ = 10–90°, low angle first:
d_spacing	I_rel
2.903	31.8
2.407	100.0
2.209	35.7
1.853	18.2
1.702	62.6
1.390	14.2
1.348	7.7
1.254	19.2
1.204	6.9
1.176	12.4

Entry 2:
# LiTeS3
Calculated XRD peak list, copper Kα. Input: the PBE geometry in Alexandria.
No peak broadening, texture or thermal motion is included.

Cell and atoms:
abc: 6.970 3.726 9.319
angles: 90.00 103.33 90.00
Sites, in units of the cell vectors:
Li 0.063 0.250 0.308
Li 0.937 0.750 0.692
Te 0.425 0.250 0.804
Te 0.575 0.750 0.196
S 0.118 0.250 0.609
S 0.253 0.750 0.937
S 0.422 0.250 0.328
S 0.578 0.750 0.672
S 0.747 0.250 0.063
S 0.882 0.750 0.391

Top 10 peaks for 2θ = 10–90°, low angle first:
d_spacing	I_rel
6.783	100.0
6.154	80.2
4.534	25.7
3.446	28.2
3.422	39.4
3.187	29.6
2.801	66.8
2.457	28.4
2.373	39.0
1.935	55.0

Entry 3:
# PrS8Br2
Calculated XRD peak list, copper Kα. Input: the PBE geometry in Alexandria.
No peak broadening, texture or thermal motion is included.

Cell and atoms:
abc: 7.056 7.056 8.697
angles: 108.70 108.70 99.14
Sites, in units of the cell vectors:
Pr 0.000 0.000 0.000
S 0.031 0.460 0.102
S 0.409 0.409 0.225
S 0.425 0.425 0.856
S 0.460 0.031 0.102
S 0.540 0.969 0.898
S 0.575 0.575 0.144
S 0.591 0.591 0.775
S 0.969 0.540 0.898
Br 0.131 0.131 0.367
Br 0.869 0.869 0.633

Top 10 peaks for 2θ = 10–90°, low angle first:
d_spacing	I_rel
7.559	87.5
6.393	46.1
6.259	52.5
5.371	100.0
3.482	97.7
3.196	55.9
2.898	35.9
2.802	36.9
2.746	48.4
2.686	46.4

Entry 4:
# Tb7Nd3Ho
Calculated XRD peak list, copper Kα. Input: the PBE geometry in Alexandria.
No peak broadening, texture or thermal motion is included.

Cell and atoms:
abc: 5.565 6.987 10.041
angles: 70.51 89.98 89.95
Sites, in units of the cell vectors:
Tb 0.000 0.000 0.000
Tb 0.000 0.422 0.171
Tb 0.000 0.578 0.829
Tb 0.500 0.146 0.711
Tb 0.500 0.323 0.364
Tb 0.500 0.677 0.636
Tb 0.500 0.854 0.289
Nd 0.000 0.000 0.500
Nd 0.500 0.281 0.003
Nd 0.500 0.719 0.997
Ho 0.000 0.500 0.500

Top 10 peaks for 2θ = 10–90°, low angle first:
d_spacing	I_rel
2.870	34.0
2.843	41.4
2.833	100.0
2.813	70.6
2.784	98.2
2.745	76.7
1.971	21.9
1.617	22.3
1.482	18.1
1.479	19.8